Structure and computed X-ray powder pattern of CrPO4 (a DFT-relaxed cell (PBE+U, the Materials Project); Cu Kα (λ = 1.5418 Å)).
Intensities are scaled so that the largest is 100.

```
CrPO4
1.0
3.0288 -3.7156 0.0000
3.0288 3.7156 0.0000
-2.2771 0.0000 15.3620
Cr P O
4 4 16
direct
0.0889 0.4120 0.2500 Cr
0.4120 0.0889 0.7500 Cr
0.5880 0.9111 0.2500 Cr
0.9111 0.5880 0.7500 Cr
0.0671 0.2416 0.8698 P
0.2416 0.0671 0.3698 P
0.7583 0.9329 0.6302 P
0.9329 0.7584 0.1302 P
0.0686 0.8840 0.6660 O
0.1160 0.9314 0.8340 O
0.1688 0.3275 0.9614 O
0.2365 0.4139 0.7965 O
0.2431 0.7066 0.1647 O
0.2934 0.7569 0.3353 O
0.3275 0.1688 0.4614 O
0.4139 0.2365 0.2965 O
0.5861 0.7635 0.7035 O
0.6725 0.8312 0.5386 O
0.7066 0.2431 0.6647 O
0.7569 0.2934 0.8353 O
0.7635 0.5861 0.2035 O
0.8312 0.6725 0.0386 O
0.8840 0.0686 0.1660 O
0.9314 0.1160 0.3340 O
```

Largest 12 diffraction maxima, sorted by position, 2θ = 15–90°:
2θ = 19.03°, rel. 34
2θ = 19.24°, rel. 67
2θ = 21.12°, rel. 92
2θ = 23.41°, rel. 61
2θ = 29.71°, rel. 100
2θ = 29.82°, rel. 41
2θ = 33.67°, rel. 32
2θ = 35.19°, rel. 39
2θ = 40.15°, rel. 30
2θ = 40.63°, rel. 38
2θ = 42.97°, rel. 60
2θ = 51.85°, rel. 32